Simulated X-ray diffraction stick pattern
Compound: Zr5Ag24
Radiation: Cu Kα (λ = 1.5418 Å)
Structure: a cell relaxed with GGA-PBE

Principal peaks in the range 10 to 90 degrees two-theta, sorted by position:
2θ (°), I_rel
34.84, 10
37.03, 100
41.11, 32
43.02, 10
44.87, 20
62.47, 5
63.91, 10
66.74, 24
68.13, 6
78.86, 8

Crystal structure
```
Zr5Ag24
1.0
-5.1497 5.1497 5.1497
5.1497 -5.1497 5.1497
5.1497 5.1497 -5.1497
Zr Ag
5 24
direct
0.0000 0.0000 0.0000 Zr
0.0000 0.0000 0.6448 Zr
0.0000 0.6448 0.0000 Zr
0.3552 0.3552 0.3552 Zr
0.6448 0.0000 0.0000 Zr
0.0000 0.1901 0.3763 Ag
0.0000 0.3763 0.1901 Ag
0.0000 0.4046 0.6829 Ag
0.0000 0.6829 0.4046 Ag
0.1862 0.8099 0.8099 Ag
0.1901 0.0000 0.3763 Ag
0.1901 0.3763 0.0000 Ag
0.2784 0.5954 0.5954 Ag
0.3171 0.3171 0.7216 Ag
0.3171 0.7216 0.3171 Ag
0.3763 0.0000 0.1901 Ag
0.3763 0.1901 0.0000 Ag
0.4046 0.0000 0.6829 Ag
0.4046 0.6829 0.0000 Ag
0.5954 0.2784 0.5954 Ag
0.5954 0.5954 0.2784 Ag
0.6237 0.6237 0.8138 Ag
0.6237 0.8138 0.6237 Ag
0.6829 0.0000 0.4046 Ag
0.6829 0.4046 0.0000 Ag
0.7216 0.3171 0.3171 Ag
0.8099 0.1862 0.8099 Ag
0.8099 0.8099 0.1862 Ag
0.8138 0.6237 0.6237 Ag
```